Entry 1:
This entry pairs a crystal structure of BiAs4S8 with its theoretical PXRD pattern. Radiation: CuKα. Structure: a DFT-relaxed cell (GGA-PBE, Alexandria).

Top 8 peaks for 5° ≤ 2θ ≤ 70°, in order of falling intensity:
2θ (°)  I_rel
27.0  100.0
42.9  60.2
47.0  59.4
16.2  54.7
23.0  36.5
14.0  22.3
65.5  21.6
35.8  21.4

Structure:
Cell lengths 7.7375, 7.7375, 7.7375 Å; angles 60.00, 60.00, 60.00 degrees
Atoms (fractional coordinates):
Bi: 0.0000 0.0000 0.0000
As: 0.3871 0.3871 0.3871
As: 0.3871 0.3871 0.8386
As: 0.3871 0.8386 0.3871
As: 0.8386 0.3871 0.3871
S: 0.1368 0.1368 0.1368
S: 0.1368 0.1368 0.5897
S: 0.1368 0.5897 0.1368
S: 0.1603 0.6132 0.6132
S: 0.5897 0.1368 0.1368
S: 0.6132 0.1603 0.6132
S: 0.6132 0.6132 0.1603
S: 0.6132 0.6132 0.6132

---

Entry 2:
This entry pairs a crystal structure of Bi3AsS3 with its theoretical PXRD pattern. Radiation: CuKα. Structure: a DFT-relaxed cell (GGA-PBE, Alexandria).

Top 8 peaks for 5° ≤ 2θ ≤ 70°, in order of falling intensity:
2θ (°)  I_rel
30.3  100.0
42.7  48.0
30.7  44.2
26.5  41.3
44.6  36.1
7.6  30.5
13.3  24.5
25.3  20.9

Structure:
Cell lengths 8.4741, 4.1251, 11.6794 Å; angles 90.00, 93.31, 90.00 degrees
Atoms (fractional coordinates):
Bi: 0.1311 0.2500 0.3517
Bi: 0.3431 0.7500 0.1170
Bi: 0.3589 0.7500 0.6427
Bi: 0.6411 0.2500 0.3573
Bi: 0.6569 0.2500 0.8830
Bi: 0.8689 0.7500 0.6483
As: 0.3681 0.7500 0.3718
As: 0.6319 0.2500 0.6282
S: 0.1198 0.2500 0.1264
S: 0.1431 0.2500 0.6209
S: 0.4184 0.7500 0.8699
S: 0.5816 0.2500 0.1301
S: 0.8569 0.7500 0.3791
S: 0.8802 0.7500 0.8736